Entry 1:
# GaNCl4
Computed X-ray powder pattern, a wavelength of 1.5418 Å. Input: a cell relaxed with PBE.

Cell and atoms:
Lattice parameters (Å, degrees): 11.2339 6.0383 11.1837 90.00 90.00 90.00
Sites, in units of the cell vectors:
Ga: 0.0730 0.2500 0.1588
Ga: 0.4270 0.7500 0.6588
Ga: 0.5730 0.2500 0.3412
Ga: 0.9270 0.7500 0.8412
N: 0.0296 0.2500 0.6909
N: 0.4704 0.7500 0.1909
N: 0.5296 0.2500 0.8091
N: 0.9704 0.7500 0.3091
Cl: 0.0623 0.5155 0.3219
Cl: 0.0623 0.9845 0.3219
Cl: 0.0908 0.7500 0.9387
Cl: 0.2478 0.2500 0.0828
Cl: 0.2522 0.7500 0.5828
Cl: 0.4092 0.2500 0.4387
Cl: 0.4377 0.0155 0.8219
Cl: 0.4377 0.4845 0.8219
Cl: 0.5623 0.5155 0.1781
Cl: 0.5623 0.9845 0.1781
Cl: 0.5908 0.7500 0.5613
Cl: 0.7478 0.2500 0.4172
Cl: 0.7522 0.7500 0.9172
Cl: 0.9092 0.2500 0.0613
Cl: 0.9377 0.0155 0.6781
Cl: 0.9377 0.4845 0.6781

Principal peaks in the range 2θ from 15° to 90°, low angle first:
2θ = 15.79°, rel. 65; 2θ = 16.69°, rel. 61; 2θ = 17.67°, rel. 70; 2θ = 23.08°, rel. 100; 2θ = 31.71°, rel. 36; 2θ = 50.74°, rel. 39



Entry 2:
# Th3SbN3
Computed X-ray powder pattern, a wavelength of 1.5418 Å. Input: a cell relaxed with PBE.

Cell and atoms:
Lattice parameters (Å, degrees): 9.4560 4.2089 9.4572 90.00 119.97 90.00
Sites, in units of the cell vectors:
Th: 0.0863 0.2500 0.3762
Th: 0.2903 0.2500 0.9134
Th: 0.3764 0.7500 0.2899
Th: 0.6236 0.2500 0.7101
Th: 0.7097 0.7500 0.0866
Th: 0.9137 0.7500 0.6238
Sb: 0.3331 0.7500 0.6663
Sb: 0.6669 0.2500 0.3337
N: 0.0242 0.2500 0.7239
N: 0.2761 0.2500 0.2998
N: 0.3009 0.7500 0.0240
N: 0.6991 0.2500 0.9760
N: 0.7239 0.7500 0.7002
N: 0.9758 0.7500 0.2761

Principal peaks in the range 2θ from 15° to 90°, low angle first:
2θ = 28.39°, rel. 100; 2θ = 28.84°, rel. 70; 2θ = 30.45°, rel. 85; 2θ = 32.80°, rel. 38; 2θ = 52.58°, rel. 28; 2θ = 53.39°, rel. 49



Entry 3:
# CsBaPdO2
Computed X-ray powder pattern, a wavelength of 1.5418 Å. Input: a cell relaxed with PBE.

Cell and atoms:
Lattice parameters (Å, degrees): 8.0451 8.0451 5.3248 90.00 90.00 119.57
Sites, in units of the cell vectors:
Cs: 0.2500 0.7500 0.8983
Cs: 0.7500 0.2500 0.1017
Ba: 0.2500 0.2500 0.5000
Ba: 0.7500 0.7500 0.5000
Pd: 0.0000 0.0000 0.0000
Pd: 0.5000 0.5000 0.0000
O: 0.0938 0.9062 0.2798
O: 0.4062 0.5938 0.2798
O: 0.5938 0.4062 0.7202
O: 0.9062 0.0938 0.7202

Principal peaks in the range 2θ from 15° to 90°, low angle first:
2θ = 21.00°, rel. 40; 2θ = 25.63°, rel. 63; 2θ = 27.68°, rel. 100; 2θ = 36.11°, rel. 30; 2θ = 38.08°, rel. 94; 2θ = 52.31°, rel. 25



Entry 4:
# Np2RhO8
Computed X-ray powder pattern, a wavelength of 1.5418 Å. Input: a cell relaxed with PBE.

Cell and atoms:
Lattice parameters (Å, degrees): 6.3958 6.3958 4.2590 90.00 90.00 120.00
Sites, in units of the cell vectors:
Np: 0.3333 0.6667 0.2545
Np: 0.6667 0.3333 0.7455
Rh: 0.0000 0.0000 0.5000
O: 0.1564 0.3128 0.2623
O: 0.1564 0.8436 0.2623
O: 0.3128 0.1564 0.7377
O: 0.3333 0.6667 0.7370
O: 0.6667 0.3333 0.2630
O: 0.6872 0.8436 0.2623
O: 0.8436 0.1564 0.7377
O: 0.8436 0.6872 0.7377

Principal peaks in the range 2θ from 15° to 90°, low angle first:
2θ = 26.40°, rel. 100; 2θ = 27.90°, rel. 85; 2θ = 38.79°, rel. 21; 2θ = 48.45°, rel. 42; 2θ = 49.36°, rel. 18; 2θ = 64.48°, rel. 17



Entry 5:
# TlSn2SbO8
Computed X-ray powder pattern, a wavelength of 1.5418 Å. Input: a cell relaxed with PBE.

Cell and atoms:
Lattice parameters (Å, degrees): 4.8593 4.8593 6.6219 90.00 90.00 90.31
Sites, in units of the cell vectors:
Tl: 0.0000 0.0000 0.0000
Sn: 0.5000 0.5000 0.2529
Sn: 0.5000 0.5000 0.7471
Sb: 0.0000 0.0000 0.5000
O: 0.1961 0.1961 0.2765
O: 0.1961 0.1961 0.7235
O: 0.3002 0.6998 0.5000
O: 0.3182 0.6818 0.0000
O: 0.6818 0.3182 0.0000
O: 0.6998 0.3002 0.5000
O: 0.8039 0.8039 0.2765
O: 0.8039 0.8039 0.7235

Principal peaks in the range 2θ from 15° to 90°, low angle first:
2θ = 25.86°, rel. 58; 2θ = 26.00°, rel. 56; 2θ = 32.73°, rel. 100; 2θ = 37.00°, rel. 29; 2θ = 50.14°, rel. 41; 2θ = 50.30°, rel. 39



Entry 6:
# Pm4Zn3Ni
Computed X-ray powder pattern, a wavelength of 1.5418 Å. Input: a cell relaxed with PBE.

Cell and atoms:
Lattice parameters (Å, degrees): 3.7735 4.5594 11.2817 90.00 90.00 90.00
Sites, in units of the cell vectors:
Pm: 0.0000 0.0000 0.0000
Pm: 0.0000 0.5000 0.2708
Pm: 0.5000 0.0000 0.4688
Pm: 0.5000 0.5000 0.7817
Zn: 0.0000 0.0000 0.6955
Zn: 0.0000 0.5000 0.5578
Zn: 0.5000 0.5000 0.0639
Ni: 0.5000 0.0000 0.1919

Principal peaks in the range 2θ from 15° to 90°, low angle first:
2θ = 25.11°, rel. 28; 2θ = 31.78°, rel. 100; 2θ = 33.65°, rel. 41; 2θ = 37.50°, rel. 25; 2θ = 39.17°, rel. 33; 2θ = 39.53°, rel. 26



Entry 7:
# DyY4
Computed X-ray powder pattern, a wavelength of 1.5418 Å. Input: a cell relaxed with PBE.

Cell and atoms:
Lattice parameters (Å, degrees): 5.4556 16.7626 3.5254 90.00 90.00 90.00
Sites, in units of the cell vectors:
Dy: 0.0000 0.0000 0.0000
Dy: 0.5000 0.5000 0.0000
Y: 0.0000 0.1993 0.0000
Y: 0.0000 0.3912 0.5000
Y: 0.0000 0.6088 0.5000
Y: 0.0000 0.8007 0.0000
Y: 0.5000 0.1088 0.5000
Y: 0.5000 0.3007 0.0000
Y: 0.5000 0.6993 0.0000
Y: 0.5000 0.8912 0.5000

Principal peaks in the range 2θ from 15° to 90°, low angle first:
2θ = 30.66°, rel. 100; 2θ = 31.32°, rel. 99; 2θ = 32.83°, rel. 45; 2θ = 33.21°, rel. 46; 2θ = 47.40°, rel. 33; 2θ = 61.85°, rel. 27



Entry 8:
# Sc4P6Ir7
Computed X-ray powder pattern, a wavelength of 1.5418 Å. Input: a cell relaxed with PBE.

Cell and atoms:
Lattice parameters (Å, degrees): 6.9357 6.9357 6.9357 109.47 109.47 109.47
Sites, in units of the cell vectors:
Sc: 0.0000 0.0000 0.5000
Sc: 0.0000 0.5000 0.0000
Sc: 0.5000 0.0000 0.0000
Sc: 0.5000 0.5000 0.5000
P: 0.0000 0.3179 0.3179
P: 0.0000 0.6821 0.6821
P: 0.3179 0.0000 0.3179
P: 0.3179 0.3179 0.0000
P: 0.6821 0.0000 0.6821
P: 0.6821 0.6821 0.0000
Ir: 0.0000 0.0000 0.0000
Ir: 0.2500 0.5000 0.7500
Ir: 0.2500 0.7500 0.5000
Ir: 0.5000 0.2500 0.7500
Ir: 0.5000 0.7500 0.2500
Ir: 0.7500 0.2500 0.5000
Ir: 0.7500 0.5000 0.2500

Principal peaks in the range 2θ from 15° to 90°, low angle first:
2θ = 22.20°, rel. 41; 2θ = 27.28°, rel. 100; 2θ = 38.96°, rel. 91; 2θ = 42.22°, rel. 89; 2θ = 45.29°, rel. 75; 2θ = 65.99°, rel. 45